Structure and computed powder diffraction line list of LaTlP2Se6 (the GGA-PBE geometry in the Materials Project; Cu Kα (λ = 1.5418 Å)).

Largest 12 diffraction maxima, by angle, 10 to 80 degrees two-theta:
16.9°, rel. 21.8; 19.3°, rel. 23.3; 24.3°, rel. 47.4; 28.8°, rel. 100.0; 30.4°, rel. 38.2; 31.3°, rel. 57.8; 31.6°, rel. 42.3; 32.2°, rel. 21.6; 34.2°, rel. 30.1; 35.1°, rel. 37.9; 35.3°, rel. 31.7; 35.9°, rel. 42.4

Atomic structure:
```
LaTlP2Se6
1.0
12.4902 0.0000 0.0000
0.0000 7.8739 0.0000
-4.0605 0.0000 11.3093
La Tl P Se
4 4 8 24
direct
0.1512 0.1042 0.4052
0.1512 0.3958 0.9052
0.8488 0.6042 0.0948
0.8488 0.8958 0.5948
0.3706 0.5901 0.6246
0.3706 0.9099 0.1246
0.6294 0.0901 0.8754
0.6294 0.4099 0.3754
0.1795 0.5981 0.2475
0.1795 0.9019 0.7475
0.2929 0.1175 0.7337
0.2929 0.3825 0.2337
0.7071 0.6175 0.7663
0.7071 0.8825 0.2663
0.8205 0.0981 0.2525
0.8205 0.4019 0.7525
0.0544 0.0238 0.8178
0.0544 0.4762 0.3178
0.0911 0.6922 0.0657
0.0911 0.8078 0.5657
0.1710 0.1886 0.1341
0.1710 0.3114 0.6341
0.2916 0.7101 0.8623
0.2916 0.7899 0.3623
0.3743 0.2123 0.9159
0.3743 0.2877 0.4159
0.3922 0.0189 0.6289
0.3922 0.4811 0.1289
0.6078 0.5189 0.8711
0.6078 0.9811 0.3711
0.6257 0.7123 0.5841
0.6257 0.7877 0.0841
0.7084 0.2101 0.6377
0.7084 0.2899 0.1377
0.8290 0.6886 0.3659
0.8290 0.8114 0.8659
0.9089 0.1922 0.4343
0.9089 0.3078 0.9343
0.9456 0.5238 0.6822
0.9456 0.9762 0.1822
```